1.
Structure and computed X-ray diffraction stick pattern of K2LiSiS4 (a crystal structure in Alexandria, relaxed with GGA-PBE; Cu Kα, 1.54184 Å).
Neutral-atom scattering factors, no anomalous dispersion.

Cell lengths 7.6753, 7.6753, 6.6550 Å; angles 90.00, 90.00, 90.00 degrees
Atoms (fractional coordinates):
K 0.0000 0.5000 0.0000
K 0.0000 0.5000 0.5000
K 0.5000 0.0000 0.0000
K 0.5000 0.0000 0.5000
Li 0.0000 0.0000 0.0000
Li 0.5000 0.5000 0.5000
Si 0.0000 0.0000 0.5000
Si 0.5000 0.5000 0.0000
S 0.1512 0.1512 0.2933
S 0.1512 0.8488 0.7067
S 0.3488 0.3488 0.7933
S 0.3488 0.6512 0.2067
S 0.6512 0.3488 0.2067
S 0.6512 0.6512 0.7933
S 0.8488 0.1512 0.7067
S 0.8488 0.8488 0.2933

The 10 most intense peaks (5 to 70 degrees two-theta), by angle:
d_spacing, 2theta, I/Imax
5.028, 17.64, 38
3.838, 23.18, 24
3.051, 29.28, 100
2.837, 31.54, 38
2.714, 33.01, 29
2.514, 35.71, 64
2.427, 37.04, 36
2.103, 43.01, 22
1.716, 53.38, 17
1.662, 55.25, 34

---

2.
Structure and computed X-ray diffraction stick pattern of Sr2GaSn2 (a crystal structure in Alexandria, relaxed with GGA-PBE; Cu Kα, 1.54184 Å).
Neutral-atom scattering factors, no anomalous dispersion.

Cell lengths 9.3988, 9.3988, 7.9486 Å; angles 90.00, 90.00, 151.50 degrees
Atoms (fractional coordinates):
Sr 0.0300 0.9700 0.5000
Sr 0.2148 0.7852 0.7935
Sr 0.7852 0.2148 0.2935
Sr 0.9700 0.0300 0.0000
Ga 0.4234 0.5766 0.6649
Ga 0.5766 0.4234 0.1649
Sn 0.1598 0.8402 0.2073
Sn 0.4276 0.5724 0.3011
Sn 0.5724 0.4276 0.8011
Sn 0.8402 0.1598 0.7073

The 10 most intense peaks (5 to 70 degrees two-theta), by angle:
d_spacing, 2theta, I/Imax
3.974, 22.37, 36
3.340, 26.69, 67
2.974, 30.04, 26
2.863, 31.25, 56
2.698, 33.21, 100
2.544, 35.28, 35
2.313, 38.93, 42
2.150, 42.02, 24
1.998, 45.40, 24
1.712, 53.54, 21

---

3.
Structure and computed X-ray diffraction stick pattern of CaAg3Cl6 (a crystal structure in Alexandria, relaxed with GGA-PBE; Cu Kα, 1.54184 Å).
Neutral-atom scattering factors, no anomalous dispersion.

Cell lengths 8.2010, 8.2010, 4.1398 Å; angles 90.00, 90.00, 109.38 degrees
Atoms (fractional coordinates):
Ca 0.0000 0.0000 0.0000
Ag 0.0000 0.5000 0.5000
Ag 0.5000 0.0000 0.5000
Ag 0.5000 0.5000 0.0000
Cl 0.1348 0.8652 0.5000
Cl 0.1801 0.4312 0.0000
Cl 0.4312 0.1801 0.0000
Cl 0.5688 0.8199 0.0000
Cl 0.8199 0.5688 0.0000
Cl 0.8652 0.1348 0.5000

The 10 most intense peaks (5 to 70 degrees two-theta), by angle:
d_spacing, 2theta, I/Imax
3.868, 22.99, 95
3.650, 24.39, 29
3.521, 25.30, 82
3.118, 28.63, 15
2.370, 37.96, 21
2.281, 39.50, 100
2.070, 43.73, 21
2.018, 44.91, 18
1.965, 46.19, 44
1.825, 49.97, 22

---

4.
Structure and computed X-ray diffraction stick pattern of Hf3Be4Ge2 (a crystal structure in Alexandria, relaxed with GGA-PBE; Cu Kα, 1.54184 Å).
Neutral-atom scattering factors, no anomalous dispersion.

Cell lengths 5.1674, 5.1674, 7.3662 Å; angles 102.15, 102.15, 42.04 degrees
Atoms (fractional coordinates):
Hf 0.0000 0.0000 0.0000
Hf 0.3375 0.3375 0.3272
Hf 0.6625 0.6625 0.6728
Be 0.0513 0.0513 0.3948
Be 0.2694 0.2694 0.9491
Be 0.7306 0.7306 0.0509
Be 0.9487 0.9487 0.6052
Ge 0.3837 0.3837 0.7214
Ge 0.6163 0.6163 0.2786

The 10 most intense peaks (5 to 70 degrees two-theta), by angle:
d_spacing, 2theta, I/Imax
3.581, 24.87, 33
3.217, 27.73, 100
2.395, 37.56, 91
2.391, 37.63, 88
1.859, 48.99, 36
1.854, 49.15, 18
1.790, 51.04, 16
1.647, 55.81, 14
1.467, 63.39, 19
1.465, 63.49, 13

---

5.
Structure and computed X-ray diffraction stick pattern of KCa2F6 (a crystal structure in Alexandria, relaxed with GGA-PBE; Cu Kα, 1.54184 Å).
Neutral-atom scattering factors, no anomalous dispersion.

Cell lengths 9.6383, 9.6383, 9.6383 Å; angles 156.64, 156.64, 33.27 degrees
Atoms (fractional coordinates):
K 0.0000 0.0000 0.0000
Ca 0.3249 0.3249 0.0000
Ca 0.6751 0.6751 0.0000
F 0.1012 0.6012 0.5000
F 0.2500 0.7500 0.5000
F 0.3988 0.8988 0.5000
F 0.6012 0.1012 0.5000
F 0.7500 0.2500 0.5000
F 0.8988 0.3988 0.5000

The 10 most intense peaks (5 to 70 degrees two-theta), by angle:
d_spacing, 2theta, I/Imax
9.235, 9.58, 13
3.296, 27.05, 100
2.369, 37.99, 4
2.055, 44.07, 74
1.951, 46.55, 37
1.816, 50.23, 13
1.771, 51.62, 8
1.679, 54.67, 23
1.539, 60.12, 4
1.380, 67.95, 10

---

6.
Structure and computed X-ray diffraction stick pattern of SrLi2ZnF6 (a crystal structure in Alexandria, relaxed with GGA-PBE; Cu Kα, 1.54184 Å).
Neutral-atom scattering factors, no anomalous dispersion.

Cell lengths 5.7321, 5.7321, 5.7321 Å; angles 56.24, 56.24, 56.24 degrees
Atoms (fractional coordinates):
Sr 0.0000 0.0000 0.0000
Li 0.2717 0.2717 0.2717
Li 0.7779 0.7779 0.7779
Zn 0.4800 0.4800 0.4800
F 0.0629 0.6127 0.4605
F 0.1895 0.5427 0.8841
F 0.4605 0.0629 0.6127
F 0.5427 0.8841 0.1895
F 0.6127 0.4605 0.0629
F 0.8841 0.1895 0.5427

The 10 most intense peaks (5 to 70 degrees two-theta), by angle:
d_spacing, 2theta, I/Imax
3.926, 22.65, 100
2.857, 31.31, 54
2.702, 33.16, 28
2.355, 38.21, 23
2.225, 40.54, 39
1.963, 46.25, 25
1.796, 50.84, 34
1.718, 53.33, 20
1.588, 58.09, 21
1.560, 59.24, 19